No. 1
Calculated powder XRD pattern of Sr2CaH8O6 for λ = 1.5418 Å (Cu Kα), from the PBE geometry in Alexandria.
No peak broadening, texture or thermal motion is included.

Most intense lines, 2θ from 10° to 80°, most intense first:
2θ/deg  Rel. int.
17.0  100
20.6  43
14.9  37
29.1  32
37.8  23
31.9  22
32.2  22
26.9  21
37.4  19
24.3  19

Atomic structure:
Cell lengths 3.871, 7.414, 8.760 Å; angles 96.47, 95.44, 100.90 degrees
Fractional positions:
Sr1 0.000 0.000 0.000
Sr2 0.059 0.386 0.533
Ca1 0.488 0.726 0.282
H1 0.146 0.041 0.660
H2 0.344 0.345 0.176
H3 0.374 0.676 0.955
H4 0.398 0.077 0.465
H5 0.591 0.324 0.972
H6 0.730 0.716 0.584
H7 0.738 0.049 0.657
H8 0.930 0.352 0.165
O1 0.167 0.404 0.235
O2 0.434 0.790 0.030
O3 0.476 0.162 0.565
O4 0.588 0.245 0.056
O5 0.631 0.606 0.508
O6 0.930 0.993 0.711

No. 2
Calculated powder XRD pattern of CaTe2HO6 for λ = 1.5418 Å (Cu Kα), from the PBE geometry in Alexandria.
No peak broadening, texture or thermal motion is included.

Most intense lines, 2θ from 10° to 80°, most intense first:
2θ/deg  Rel. int.
20.3  100
26.5  49
16.7  43
32.6  41
27.1  40
31.4  37
20.9  37
15.4  31
27.7  28
46.0  22

Atomic structure:
Cell lengths 7.207, 7.207, 6.908 Å; angles 97.78, 97.78, 105.56 degrees
Fractional positions:
Ca1 0.107 0.893 0.750
Ca2 0.893 0.107 0.250
Te1 0.210 0.397 0.714
Te2 0.397 0.210 0.214
Te3 0.603 0.790 0.786
Te4 0.790 0.603 0.286
H1 0.117 0.883 0.250
H2 0.883 0.117 0.750
O1 0.022 0.824 0.375
O2 0.080 0.578 0.790
O3 0.176 0.978 0.125
O4 0.268 0.304 0.421
O5 0.304 0.268 0.921
O6 0.422 0.920 0.710
O7 0.578 0.080 0.290
O8 0.696 0.732 0.079
O9 0.732 0.696 0.579
O10 0.824 0.022 0.875
O11 0.920 0.422 0.210
O12 0.978 0.176 0.625

No. 3
Calculated powder XRD pattern of CaTi6H4O14 for λ = 1.5418 Å (Cu Kα), from the PBE geometry in Alexandria.
No peak broadening, texture or thermal motion is included.

Most intense lines, 2θ from 10° to 80°, most intense first:
2θ/deg  Rel. int.
11.2  100
29.2  36
35.9  33
47.1  30
13.3  22
28.4  22
43.1  21
16.1  21
28.9  19
23.8  19

Atomic structure:
Cell lengths 3.861, 8.256, 9.353 Å; angles 100.67, 90.36, 102.51 degrees
Fractional positions:
Ca1 0.000 0.000 0.000
Ti1 0.259 0.510 0.318
Ti2 0.314 0.629 0.996
Ti3 0.352 0.716 0.702
Ti4 0.638 0.239 0.361
Ti5 0.674 0.338 0.051
Ti6 0.723 0.438 0.745
H1 0.423 0.823 0.275
H2 0.486 0.977 0.555
H3 0.525 0.072 0.728
H4 0.821 0.980 0.397
O1 0.146 0.256 0.339
O2 0.199 0.388 0.072
O3 0.249 0.493 0.783
O4 0.315 0.629 0.497
O5 0.345 0.707 0.211
O6 0.415 0.835 0.932
O7 0.452 0.960 0.659
O8 0.580 0.141 0.121
O9 0.580 0.997 0.387
O10 0.634 0.246 0.852
O11 0.672 0.324 0.562
O12 0.736 0.459 0.278
O13 0.789 0.578 0.987
O14 0.840 0.688 0.724